1.
Starting from a structure optimized by DFT (PBE+U), the X-ray powder pattern of PmTmMo2O8 was simulated for λ = 1.5418 Å (Cu Kα).
Kinematic intensities with the Lorentz-polarization factor, no thermal factor.

Structural model:
```
data_PmTmMo2O8
_chemical_formula_sum 'Pm1 Tm1 Mo2 O8'
_cell_length_a 6.706
_cell_length_b 6.706
_cell_length_c 6.706
_cell_angle_alpha 133.69
_cell_angle_beta 133.69
_cell_angle_gamma 67.57
_space_group_name_H-M_alt 'P 1'
_space_group_IT_number 1
_space_group_name_Hall 'P 1'
loop_
_atom_site_label
_atom_site_type_symbol
_atom_site_fract_x
_atom_site_fract_y
_atom_site_fract_z
Pm1 Pm 0.000 0.000 0.000
Tm1 Tm 0.250 0.750 0.500
Mo1 Mo 0.500 0.500 0.000
Mo2 Mo 0.750 0.250 0.500
O1 O 0.031 0.076 0.427
O2 O 0.238 0.644 0.060
O3 O 0.356 0.416 0.594
O4 O 0.396 0.969 0.045
O5 O 0.584 0.178 0.940
O6 O 0.648 0.604 0.573
O7 O 0.822 0.762 0.406
O8 O 0.924 0.352 0.955
```

Largest 12 diffraction maxima, most intense first, 15 to 90 degrees two-theta:
two_theta  intensity
28.81  100
47.47  31
57.70  28
34.00  20
55.24  16
48.85  15
32.12  13
76.81  12
59.67  11
18.61  6
77.48  6
78.91  6

=====

2.
Starting from a structure optimized by DFT (PBE+U), the X-ray powder pattern of PmUMoO6 was simulated for λ = 1.5418 Å (Cu Kα).
Kinematic intensities with the Lorentz-polarization factor, no thermal factor.

Structural model:
```
data_PmUMoO6
_chemical_formula_sum 'Pm2 U2 Mo2 O12'
_cell_length_a 5.812
_cell_length_b 5.812
_cell_length_c 8.804
_cell_angle_alpha 90.00
_cell_angle_beta 90.00
_cell_angle_gamma 120.00
_space_group_name_H-M_alt 'P 1'
_space_group_IT_number 1
_space_group_name_Hall 'P 1'
loop_
_atom_site_label
_atom_site_type_symbol
_atom_site_fract_x
_atom_site_fract_y
_atom_site_fract_z
Pm1 Pm 0.333 0.667 0.250
Pm2 Pm 0.667 0.333 0.750
U1 U 0.333 0.667 0.750
U2 U 0.667 0.333 0.250
Mo1 Mo 0.000 0.000 0.000
Mo2 Mo 0.000 0.000 0.500
O1 O 0.035 0.347 0.627
O2 O 0.035 0.687 0.873
O3 O 0.313 0.347 0.873
O4 O 0.313 0.965 0.627
O5 O 0.347 0.035 0.127
O6 O 0.347 0.313 0.373
O7 O 0.653 0.687 0.627
O8 O 0.653 0.965 0.873
O9 O 0.687 0.035 0.373
O10 O 0.687 0.653 0.127
O11 O 0.965 0.313 0.127
O12 O 0.965 0.653 0.373
```

Largest 12 diffraction maxima, most intense first, 15 to 90 degrees two-theta:
two_theta  intensity
26.91  100
30.77  78
52.13  53
37.07  45
41.32  32
52.39  32
20.17  31
54.71  26
78.95  15
70.59  14
20.32  13
70.81  13

=====

3.
Starting from a structure optimized by DFT (PBE+U), the X-ray powder pattern of PmYMo2O8 was simulated for λ = 1.5418 Å (Cu Kα).
Kinematic intensities with the Lorentz-polarization factor, no thermal factor.

Structural model:
```
data_PmYMo2O8
_chemical_formula_sum 'Pm1 Y1 Mo2 O8'
_cell_length_a 6.756
_cell_length_b 6.756
_cell_length_c 6.756
_cell_angle_alpha 133.76
_cell_angle_beta 133.76
_cell_angle_gamma 67.46
_space_group_name_H-M_alt 'P 1'
_space_group_IT_number 1
_space_group_name_Hall 'P 1'
loop_
_atom_site_label
_atom_site_type_symbol
_atom_site_fract_x
_atom_site_fract_y
_atom_site_fract_z
Pm1 Pm 0.000 0.000 0.000
Y1 Y 0.250 0.750 0.500
Mo1 Mo 0.500 0.500 0.000
Mo2 Mo 0.750 0.250 0.500
O1 O 0.026 0.077 0.423
O2 O 0.241 0.644 0.060
O3 O 0.356 0.416 0.596
O4 O 0.397 0.974 0.052
O5 O 0.584 0.180 0.940
O6 O 0.655 0.603 0.577
O7 O 0.820 0.759 0.404
O8 O 0.923 0.345 0.948
```

Largest 12 diffraction maxima, most intense first, 15 to 90 degrees two-theta:
two_theta  intensity
28.61  100
47.12  32
57.32  27
33.79  18
54.78  16
48.54  15
31.85  12
76.19  12
59.24  10
89.73  8
76.78  6
78.34  5

=====

4.
Starting from a structure optimized by DFT (PBE+U), the X-ray powder pattern of Pr4Mo6O19 was simulated for λ = 1.5418 Å (Cu Kα).
Kinematic intensities with the Lorentz-polarization factor, no thermal factor.

Structural model:
```
data_Pr4Mo6O19
_chemical_formula_sum 'Pr4 Mo6 O19'
_cell_length_a 7.873
_cell_length_b 7.873
_cell_length_c 7.873
_cell_angle_alpha 109.47
_cell_angle_beta 109.47
_cell_angle_gamma 109.47
_space_group_name_H-M_alt 'P 1'
_space_group_IT_number 1
_space_group_name_Hall 'P 1'
loop_
_atom_site_label
_atom_site_type_symbol
_atom_site_fract_x
_atom_site_fract_y
_atom_site_fract_z
Pr1 Pr 0.000 0.000 0.688
Pr2 Pr 0.000 0.688 0.000
Pr3 Pr 0.312 0.312 0.312
Pr4 Pr 0.688 0.000 0.000
Mo1 Mo 0.140 0.640 0.500
Mo2 Mo 0.360 0.500 0.860
Mo3 Mo 0.500 0.140 0.640
Mo4 Mo 0.500 0.860 0.360
Mo5 Mo 0.640 0.500 0.140
Mo6 Mo 0.860 0.360 0.500
O1 O 0.000 0.000 0.000
O2 O 0.000 0.323 0.323
O3 O 0.000 0.677 0.677
O4 O 0.045 0.374 0.754
O5 O 0.246 0.620 0.291
O6 O 0.291 0.246 0.620
O7 O 0.323 0.000 0.323
O8 O 0.323 0.323 0.000
O9 O 0.329 0.955 0.709
O10 O 0.374 0.754 0.045
O11 O 0.380 0.626 0.671
O12 O 0.620 0.291 0.246
O13 O 0.626 0.671 0.380
O14 O 0.671 0.380 0.626
O15 O 0.677 0.000 0.677
O16 O 0.677 0.677 0.000
O17 O 0.709 0.329 0.955
O18 O 0.754 0.045 0.374
O19 O 0.955 0.709 0.329
```

Largest 12 diffraction maxima, most intense first, 15 to 90 degrees two-theta:
two_theta  intensity
31.11  100
23.98  90
51.24  57
37.00  48
42.17  46
61.17  36
55.35  27
49.09  22
77.10  18
34.17  17
70.22  13
83.78  11

=====

5.
Starting from a structure optimized by DFT (PBE+U), the X-ray powder pattern of Pr3MoO7 was simulated for λ = 1.5418 Å (Cu Kα).
Kinematic intensities with the Lorentz-polarization factor, no thermal factor.

Structural model:
```
data_Pr3MoO7
_chemical_formula_sum 'Pr6 Mo2 O14'
_cell_length_a 6.734
_cell_length_b 6.734
_cell_length_c 7.765
_cell_angle_alpha 90.00
_cell_angle_beta 90.00
_cell_angle_gamma 108.81
_space_group_name_H-M_alt 'P 1'
_space_group_IT_number 1
_space_group_name_Hall 'P 1'
loop_
_atom_site_label
_atom_site_type_symbol
_atom_site_fract_x
_atom_site_fract_y
_atom_site_fract_z
Pr1 Pr 0.030 0.030 0.000
Pr2 Pr 0.037 0.499 0.256
Pr3 Pr 0.499 0.037 0.744
Pr4 Pr 0.501 0.963 0.244
Pr5 Pr 0.963 0.501 0.756
Pr6 Pr 0.970 0.970 0.500
Mo1 Mo 0.499 0.499 0.500
Mo2 Mo 0.501 0.501 0.000
O1 O 0.130 0.870 0.750
O2 O 0.135 0.865 0.250
O3 O 0.182 0.421 0.976
O4 O 0.199 0.445 0.535
O5 O 0.421 0.182 0.024
O6 O 0.435 0.565 0.250
O7 O 0.445 0.199 0.465
O8 O 0.555 0.801 0.965
O9 O 0.565 0.435 0.750
O10 O 0.579 0.818 0.524
O11 O 0.801 0.555 0.035
O12 O 0.818 0.579 0.476
O13 O 0.865 0.135 0.750
O14 O 0.870 0.130 0.250
```

Largest 12 diffraction maxima, most intense first, 15 to 90 degrees two-theta:
two_theta  intensity
28.18  100
28.00  100
46.76  74
32.46  45
55.42  29
55.11  23
32.71  20
75.49  16
46.33  12
55.64  11
55.54  11
58.26  9

=====

6.
Starting from a structure optimized by DFT (PBE+U), the X-ray powder pattern of Pr3MoO7 was simulated for λ = 1.5418 Å (Cu Kα).
Kinematic intensities with the Lorentz-polarization factor, no thermal factor.

Structural model:
```
data_Pr3MoO7
_chemical_formula_sum 'Pr12 Mo4 O28'
_cell_length_a 7.694
_cell_length_b 7.788
_cell_length_c 11.061
_cell_angle_alpha 90.00
_cell_angle_beta 90.00
_cell_angle_gamma 90.00
_space_group_name_H-M_alt 'P 1'
_space_group_IT_number 1
_space_group_name_Hall 'P 1'
loop_
_atom_site_label
_atom_site_type_symbol
_atom_site_fract_x
_atom_site_fract_y
_atom_site_fract_z
Pr1 Pr 0.001 0.044 0.226
Pr2 Pr 0.001 0.045 0.773
Pr3 Pr 0.239 0.707 0.000
Pr4 Pr 0.261 0.293 0.500
Pr5 Pr 0.499 0.955 0.273
Pr6 Pr 0.499 0.956 0.726
Pr7 Pr 0.501 0.455 0.227
Pr8 Pr 0.501 0.456 0.774
Pr9 Pr 0.739 0.793 0.000
Pr10 Pr 0.761 0.207 0.500
Pr11 Pr 0.999 0.544 0.274
Pr12 Pr 0.999 0.545 0.727
Mo1 Mo 0.246 0.752 0.500
Mo2 Mo 0.254 0.248 0.000
Mo3 Mo 0.746 0.748 0.500
Mo4 Mo 0.754 0.252 0.000
O1 O 0.004 0.187 0.000
O2 O 0.004 0.272 0.633
O3 O 0.005 0.271 0.367
O4 O 0.211 0.909 0.366
O5 O 0.212 0.912 0.633
O6 O 0.218 0.447 0.123
O7 O 0.218 0.448 0.878
O8 O 0.282 0.552 0.378
O9 O 0.282 0.553 0.623
O10 O 0.288 0.088 0.133
O11 O 0.289 0.091 0.866
O12 O 0.495 0.729 0.867
O13 O 0.496 0.728 0.133
O14 O 0.496 0.813 0.500
O15 O 0.504 0.228 0.367
O16 O 0.504 0.313 0.000
O17 O 0.505 0.229 0.633
O18 O 0.711 0.591 0.634
O19 O 0.712 0.588 0.367
O20 O 0.718 0.052 0.122
O21 O 0.718 0.053 0.877
O22 O 0.782 0.947 0.377
O23 O 0.782 0.948 0.622
O24 O 0.788 0.412 0.867
O25 O 0.789 0.409 0.134
O26 O 0.995 0.771 0.133
O27 O 0.996 0.687 0.500
O28 O 0.996 0.772 0.867
```

Largest 12 diffraction maxima, most intense first, 15 to 90 degrees two-theta:
two_theta  intensity
28.26  100
28.02  88
46.69  50
32.72  39
55.84  27
32.38  22
47.25  18
51.13  11
25.64  11
30.38  11
55.25  10
55.44  10